1.
Structure and calculated XRD peak list of Cs2ZnSn3Se8 (a crystal structure in the Materials Project, relaxed with PBE; Cu Kα).

Cell and atoms:
```
data_Cs2ZnSn3Se8
_chemical_formula_sum 'Cs8 Zn4 Sn12 Se32'
_cell_length_a 8.030
_cell_length_b 13.656
_cell_length_c 18.797
_cell_angle_alpha 90.00
_cell_angle_beta 90.00
_cell_angle_gamma 90.00
_space_group_name_H-M_alt 'P 1'
_space_group_IT_number 1
loop_
_space_group_symop_operation_xyz
'x,y,z'
loop_
_atom_site_label
_atom_site_type_symbol
_atom_site_fract_x
_atom_site_fract_y
_atom_site_fract_z
_atom_site_occupancy
Cs1 Cs 0.229 0.189 0.158 1
Cs2 Cs 0.249 0.131 0.553 1
Cs3 Cs 0.251 0.869 0.053 1
Cs4 Cs 0.271 0.811 0.658 1
Cs5 Cs 0.729 0.311 0.842 1
Cs6 Cs 0.749 0.369 0.447 1
Cs7 Cs 0.751 0.631 0.947 1
Cs8 Cs 0.771 0.689 0.342 1
Zn1 Zn 0.009 0.999 0.347 1
Zn2 Zn 0.491 0.001 0.847 1
Zn3 Zn 0.509 0.501 0.653 1
Zn4 Zn 0.991 0.499 0.153 1
Sn1 Sn 0.006 0.488 0.651 1
Sn2 Sn 0.229 0.436 0.985 1
Sn3 Sn 0.239 0.453 0.319 1
Sn4 Sn 0.261 0.547 0.819 1
Sn5 Sn 0.271 0.564 0.485 1
Sn6 Sn 0.494 0.512 0.151 1
Sn7 Sn 0.506 0.012 0.349 1
Sn8 Sn 0.729 0.064 0.015 1
Sn9 Sn 0.739 0.047 0.681 1
Sn10 Sn 0.761 0.953 0.181 1
Sn11 Sn 0.771 0.936 0.515 1
Sn12 Sn 0.994 0.988 0.849 1
Se1 Se 0.006 0.113 0.955 1
Se2 Se 0.007 0.109 0.741 1
Se3 Se 0.028 0.896 0.237 1
Se4 Se 0.031 0.885 0.451 1
Se5 Se 0.231 0.615 0.155 1
Se6 Se 0.241 0.365 0.857 1
Se7 Se 0.241 0.620 0.948 1
Se8 Se 0.249 0.119 0.352 1
Se9 Se 0.251 0.881 0.852 1
Se10 Se 0.259 0.380 0.448 1
Se11 Se 0.259 0.635 0.357 1
Se12 Se 0.269 0.385 0.655 1
Se13 Se 0.469 0.115 0.951 1
Se14 Se 0.472 0.104 0.737 1
Se15 Se 0.493 0.891 0.241 1
Se16 Se 0.494 0.887 0.455 1
Se17 Se 0.506 0.387 0.045 1
Se18 Se 0.507 0.391 0.259 1
Se19 Se 0.528 0.604 0.763 1
Se20 Se 0.531 0.615 0.549 1
Se21 Se 0.731 0.885 0.845 1
Se22 Se 0.741 0.135 0.143 1
Se23 Se 0.741 0.880 0.052 1
Se24 Se 0.749 0.381 0.648 1
Se25 Se 0.751 0.619 0.148 1
Se26 Se 0.759 0.120 0.552 1
Se27 Se 0.759 0.865 0.643 1
Se28 Se 0.769 0.115 0.345 1
Se29 Se 0.969 0.385 0.049 1
Se30 Se 0.972 0.396 0.263 1
Se31 Se 0.993 0.609 0.759 1
Se32 Se 0.994 0.613 0.545 1
```

Top 6 peaks for 2θ = 10–90°, sorted by position:
- 6.828 Å, 2θ 12.97, intensity 49
- 3.564 Å, 2θ 24.98, intensity 62
- 3.408 Å, 2θ 26.15, intensity 56
- 3.294 Å, 2θ 27.07, intensity 100
- 2.007 Å, 2θ 45.18, intensity 47
- 1.715 Å, 2θ 53.43, intensity 38


2.
Structure and calculated XRD peak list of Ce4Si9Rh3 (a crystal structure in the Materials Project, relaxed with PBE; Cu Kα).

Cell and atoms:
```
data_Ce4Si9Rh3
_chemical_formula_sum 'Ce4 Si9 Rh3'
_cell_length_a 4.187
_cell_length_b 4.214
_cell_length_c 16.680
_cell_angle_alpha 90.00
_cell_angle_beta 90.00
_cell_angle_gamma 90.00
_space_group_name_H-M_alt 'P 1'
_space_group_IT_number 1
loop_
_space_group_symop_operation_xyz
'x,y,z'
loop_
_atom_site_label
_atom_site_type_symbol
_atom_site_fract_x
_atom_site_fract_y
_atom_site_fract_z
_atom_site_occupancy
Ce1 Ce 0.000 0.000 0.000 1
Ce2 Ce 0.000 0.500 0.493 1
Ce3 Ce 0.500 0.000 0.784 1
Ce4 Ce 0.500 0.500 0.288 1
Si1 Si 0.000 0.000 0.348 1
Si2 Si 0.000 0.000 0.639 1
Si3 Si 0.000 0.500 0.141 1
Si4 Si 0.000 0.500 0.852 1
Si5 Si 0.500 0.000 0.139 1
Si6 Si 0.500 0.000 0.424 1
Si7 Si 0.500 0.500 0.058 1
Si8 Si 0.500 0.500 0.638 1
Si9 Si 0.500 0.500 0.920 1
Rh1 Rh 0.000 0.000 0.203 1
Rh2 Rh 0.000 0.500 0.711 1
Rh3 Rh 0.500 0.000 0.566 1
```

Top 6 peaks for 2θ = 10–90°, sorted by position:
- 2.955 Å, 2θ 30.25, intensity 24
- 2.924 Å, 2θ 30.57, intensity 57
- 2.618 Å, 2θ 34.25, intensity 100
- 2.107 Å, 2θ 42.92, intensity 22
- 2.094 Å, 2θ 43.21, intensity 22
- 1.634 Å, 2θ 56.28, intensity 24


3.
Structure and calculated XRD peak list of UH14Cl3O7 (a crystal structure in the Materials Project, relaxed with PBE; Cu Kα).

Cell and atoms:
```
data_UH14Cl3O7
_chemical_formula_sum 'U2 H28 Cl6 O14'
_cell_length_a 7.981
_cell_length_b 8.296
_cell_length_c 9.371
_cell_angle_alpha 69.94
_cell_angle_beta 73.31
_cell_angle_gamma 81.78
_space_group_name_H-M_alt 'P 1'
_space_group_IT_number 1
loop_
_space_group_symop_operation_xyz
'x,y,z'
loop_
_atom_site_label
_atom_site_type_symbol
_atom_site_fract_x
_atom_site_fract_y
_atom_site_fract_z
_atom_site_occupancy
U1 U 0.216 0.179 0.328 1
U2 U 0.784 0.821 0.672 1
H1 H 0.002 0.149 0.090 1
H2 H 0.086 0.541 0.767 1
H3 H 0.089 0.527 0.109 1
H4 H 0.126 0.039 0.692 1
H5 H 0.130 0.982 0.122 1
H6 H 0.191 0.566 0.324 1
H7 H 0.266 0.465 0.471 1
H8 H 0.267 0.175 0.654 1
H9 H 0.353 0.355 0.956 1
H10 H 0.390 0.870 0.654 1
H11 H 0.434 0.675 0.657 1
H12 H 0.446 0.957 0.877 1
H13 H 0.480 0.868 0.246 1
H14 H 0.488 0.667 0.971 1
H15 H 0.512 0.333 0.029 1
H16 H 0.520 0.132 0.754 1
H17 H 0.554 0.043 0.123 1
H18 H 0.566 0.325 0.343 1
H19 H 0.610 0.130 0.346 1
H20 H 0.647 0.645 0.044 1
H21 H 0.733 0.825 0.346 1
H22 H 0.734 0.535 0.529 1
H23 H 0.809 0.434 0.676 1
H24 H 0.870 0.018 0.878 1
H25 H 0.874 0.961 0.308 1
H26 H 0.911 0.473 0.891 1
H27 H 0.914 0.459 0.233 1
H28 H 0.998 0.851 0.910 1
Cl1 Cl 0.144 0.821 0.486 1
Cl2 Cl 0.213 0.781 0.032 1
Cl3 Cl 0.337 0.383 0.715 1
Cl4 Cl 0.663 0.617 0.285 1
Cl5 Cl 0.787 0.219 0.968 1
Cl6 Cl 0.856 0.179 0.514 1
O1 O 0.031 0.420 0.179 1
O2 O 0.068 0.076 0.165 1
O3 O 0.219 0.451 0.390 1
O4 O 0.239 0.084 0.619 1
O5 O 0.383 0.346 0.054 1
O6 O 0.449 0.991 0.202 1
O7 O 0.482 0.776 0.661 1
O8 O 0.518 0.224 0.339 1
O9 O 0.551 0.009 0.798 1
O10 O 0.617 0.654 0.946 1
O11 O 0.761 0.916 0.381 1
O12 O 0.781 0.549 0.610 1
O13 O 0.932 0.924 0.835 1
O14 O 0.969 0.580 0.821 1
```

Top 6 peaks for 2θ = 10–90°, sorted by position:
- 8.509 Å, 2θ 10.40, intensity 36
- 6.950 Å, 2θ 12.74, intensity 100
- 6.582 Å, 2θ 13.45, intensity 80
- 5.321 Å, 2θ 16.66, intensity 50
- 4.373 Å, 2θ 20.31, intensity 58
- 3.882 Å, 2θ 22.91, intensity 34


4.
Structure and calculated XRD peak list of Rb8NdAs4S16 (a crystal structure in the Materials Project, relaxed with PBE; Cu Kα).

Cell and atoms:
```
data_Rb8NdAs4S16
_chemical_formula_sum 'Rb8 Nd1 As4 S16'
_cell_length_a 11.907
_cell_length_b 11.907
_cell_length_c 11.907
_cell_angle_alpha 134.09
_cell_angle_beta 128.47
_cell_angle_gamma 71.46
_space_group_name_H-M_alt 'P 1'
_space_group_IT_number 1
loop_
_space_group_symop_operation_xyz
'x,y,z'
loop_
_atom_site_label
_atom_site_type_symbol
_atom_site_fract_x
_atom_site_fract_y
_atom_site_fract_z
_atom_site_occupancy
Rb1 Rb 0.158 0.553 0.871 1
Rb2 Rb 0.213 0.213 0.000 1
Rb3 Rb 0.253 0.753 0.500 1
Rb4 Rb 0.318 0.447 0.605 1
Rb5 Rb 0.682 0.287 0.129 1
Rb6 Rb 0.747 0.247 0.500 1
Rb7 Rb 0.787 0.787 0.000 1
Rb8 Rb 0.842 0.713 0.395 1
Nd1 Nd 0.500 0.000 0.500 1
As1 As 0.144 0.081 0.471 1
As2 As 0.390 0.919 0.063 1
As3 As 0.610 0.672 0.529 1
As4 As 0.856 0.328 0.937 1
S1 S 0.008 0.214 0.384 1
S2 S 0.031 0.023 0.520 1
S3 S 0.170 0.786 0.794 1
S4 S 0.184 0.866 0.261 1
S5 S 0.366 0.223 0.719 1
S6 S 0.396 0.134 0.318 1
S7 S 0.496 0.777 0.143 1
S8 S 0.497 0.977 0.008 1
S9 S 0.503 0.511 0.480 1
S10 S 0.504 0.647 0.281 1
S11 S 0.604 0.923 0.739 1
S12 S 0.634 0.353 0.857 1
S13 S 0.816 0.077 0.682 1
S14 S 0.830 0.624 0.616 1
S15 S 0.969 0.489 0.992 1
S16 S 0.992 0.376 0.206 1
```

Top 6 peaks for 2θ = 10–90°, sorted by position:
- 5.623 Å, 2θ 15.76, intensity 33
- 3.535 Å, 2θ 25.19, intensity 100
- 3.456 Å, 2θ 25.78, intensity 41
- 2.835 Å, 2θ 31.55, intensity 33
- 2.688 Å, 2θ 33.33, intensity 35
- 2.588 Å, 2θ 34.66, intensity 30


5.
Structure and calculated XRD peak list of Sm3Os (a crystal structure in the Materials Project, relaxed with PBE; Cu Kα).

Cell and atoms:
```
data_Sm3Os
_chemical_formula_sum 'Sm12 Os4'
_cell_length_a 7.481
_cell_length_b 9.443
_cell_length_c 6.466
_cell_angle_alpha 90.00
_cell_angle_beta 90.00
_cell_angle_gamma 90.00
_space_group_name_H-M_alt 'P 1'
_space_group_IT_number 1
loop_
_space_group_symop_operation_xyz
'x,y,z'
loop_
_atom_site_label
_atom_site_type_symbol
_atom_site_fract_x
_atom_site_fract_y
_atom_site_fract_z
_atom_site_occupancy
Sm1 Sm 0.040 0.250 0.137 1
Sm2 Sm 0.177 0.065 0.669 1
Sm3 Sm 0.177 0.435 0.669 1
Sm4 Sm 0.323 0.565 0.169 1
Sm5 Sm 0.323 0.935 0.169 1
Sm6 Sm 0.460 0.750 0.637 1
Sm7 Sm 0.540 0.250 0.363 1
Sm8 Sm 0.677 0.065 0.831 1
Sm9 Sm 0.677 0.435 0.831 1
Sm10 Sm 0.823 0.565 0.331 1
Sm11 Sm 0.823 0.935 0.331 1
Sm12 Sm 0.960 0.750 0.863 1
Os1 Os 0.114 0.750 0.453 1
Os2 Os 0.386 0.250 0.953 1
Os3 Os 0.614 0.750 0.047 1
Os4 Os 0.886 0.250 0.547 1
```

Top 6 peaks for 2θ = 10–90°, sorted by position:
- 3.063 Å, 2θ 29.16, intensity 25
- 2.932 Å, 2θ 30.49, intensity 37
- 2.831 Å, 2θ 31.61, intensity 100
- 2.669 Å, 2θ 33.57, intensity 67
- 2.647 Å, 2θ 33.86, intensity 50
- 2.408 Å, 2θ 37.34, intensity 31